Computed powder X-ray diffraction pattern of BaV2CdO7 for a wavelength of 1.5418 Å, from a cell relaxed with GGA+U.
No peak broadening, texture or thermal motion is included.

Largest 10 diffraction maxima, low angle first, 10° ≤ 2θ ≤ 80°:
- d = 6.874 Å, I = 29, (1 0 1)
- d = 3.717 Å, I = 18, (1 0 2)
- d = 3.458 Å, I = 47, (3 1 1)
- d = 3.242 Å, I = 90, (4 1 0)
- d = 3.129 Å, I = 100, (1 1 2)
- d = 3.085 Å, I = 33, (3 0 2)
- d = 2.985 Å, I = 33, (4 1 1)
- d = 2.899 Å, I = 53, (0 2 0)
- d = 2.113 Å, I = 35, (3 2 2)
- d = 1.715 Å, I = 18, (1 3 2)

Crystal structure
Unit cell a=15.6392 b=5.7989 c=7.6525 alpha=90.00 beta=90.00 gamma=90.00
Atoms (fractional coordinates):
Ba1 0.2150 0.2500 0.1394
Ba2 0.2850 0.7500 0.6394
Ba3 0.7150 0.2500 0.3606
Ba4 0.7850 0.7500 0.8606
V1 0.0623 0.7500 0.2955
V2 0.1393 0.2500 0.6646
V3 0.3607 0.7500 0.1646
V4 0.4377 0.2500 0.7955
V5 0.5623 0.7500 0.2045
V6 0.6393 0.2500 0.8354
V7 0.8607 0.7500 0.3354
V8 0.9377 0.2500 0.7045
Cd1 0.0506 0.7500 0.8819
Cd2 0.4494 0.2500 0.3819
Cd3 0.5506 0.7500 0.6181
Cd4 0.9494 0.2500 0.1181
O1 0.0323 0.2500 0.5670
O2 0.0596 0.5091 0.1570
O3 0.0596 0.9909 0.1570
O4 0.1506 0.0092 0.7969
O5 0.1506 0.4908 0.7969
O6 0.1540 0.7500 0.4085
O7 0.2190 0.2500 0.5156
O8 0.2810 0.7500 0.0156
O9 0.3460 0.2500 0.9085
O10 0.3494 0.5092 0.2969
O11 0.3494 0.9908 0.2969
O12 0.4404 0.0091 0.6570
O13 0.4404 0.4909 0.6570
O14 0.4677 0.7500 0.0670
O15 0.5323 0.2500 0.9330
O16 0.5596 0.5091 0.3430
O17 0.5596 0.9909 0.3430
O18 0.6506 0.0092 0.7031
O19 0.6506 0.4908 0.7031
O20 0.6540 0.7500 0.0915
O21 0.7190 0.2500 0.9844
O22 0.7810 0.7500 0.4844
O23 0.8460 0.2500 0.5915
O24 0.8494 0.5092 0.2031
O25 0.8494 0.9908 0.2031
O26 0.9404 0.0091 0.8430
O27 0.9404 0.4909 0.8430
O28 0.9677 0.7500 0.4330